[1]
Computed PXRD pattern of Ba4Bi3O11 for Cu Kα, from a DFT-relaxed cell (GGA-PBE, Alexandria).

Top 6 peaks for 2θ from 10° to 80°, sorted by position:
| d (Å) | I (rel.) | index |
| --- | --- | --- |
| 3.136 | 100.0 | 2 0 2 |
| 3.113 | 55.0 | 0 2 2 |
| 2.201 | 25.8 | 0 0 4 |
| 1.815 | 23.2 | 4 2 2 |
| 1.802 | 40.4 | 2 2 4 |
| 1.568 | 17.1 | 4 0 4 |

Cell and atoms:
Cell lengths 8.938, 8.798, 8.810 Å; angles 90.00, 90.00, 90.00 degrees
Space group Amm2 (No. 38)
One atom of each set of equivalent atoms:
Ba 0.243 0.228 0.000
Bi 0.000 0.000 0.245
Bi 0.000 0.000 0.736
Bi 0.500 0.000 0.730
O 0.000 0.000 0.490
O 0.000 0.000 0.987
O 0.000 0.249 0.732
O 0.231 0.000 0.232
O 0.250 0.000 0.742
O 0.500 0.000 0.961
O 0.500 0.197 0.609

---

[2]
Computed PXRD pattern of LiHo3Ge2O8F2 for Cu Kα, from a DFT-relaxed cell (GGA-PBE, Alexandria).

Top 6 peaks for 2θ from 10° to 80°, sorted by position:
| d (Å) | I (rel.) | index |
| --- | --- | --- |
| 3.835 | 100.0 | 3 1 -1 |
| 3.099 | 45.9 | 3 1 -3 |
| 2.933 | 34.0 | 2 0 2 |
| 2.826 | 77.9 | 1 1 -3 |
| 2.727 | 31.2 | 5 1 -1 |
| 1.926 | 26.7 | 2 2 2 |

Cell and atoms:
Cell lengths 17.724, 5.111, 11.695 Å; angles 90.00, 130.56, 90.00 degrees
Space group C2/c (No. 15)
One atom of each set of equivalent atoms:
Li 0.250 0.250 0.000
Ho 0.000 0.211 0.750
Ho 0.123 0.205 0.152
Ge 0.144 0.236 0.489
O 0.032 0.074 0.428
O 0.131 0.421 0.976
O 0.155 0.068 0.366
O 0.227 0.098 0.671
F 0.072 0.413 0.673

---

[3]
Computed PXRD pattern of Tl5Cd for Cu Kα, from a DFT-relaxed cell (GGA-PBE, Alexandria).

Top 6 peaks for 2θ from 10° to 80°, sorted by position:
| d (Å) | I (rel.) | index |
| --- | --- | --- |
| 2.827 | 100.0 | 1 0 3 |
| 2.486 | 36.7 | 1 1 0 |
| 2.378 | 13.8 | 0 0 6 |
| 1.758 | 13.1 | 2 0 0 |
| 1.718 | 20.8 | 1 1 6 |
| 1.493 | 29.6 | 2 1 3 |

Cell and atoms:
Cell lengths 3.515, 3.515, 14.269 Å; angles 90.00, 90.00, 90.00 degrees
Space group P4/mmm (No. 123)
One atom of each set of equivalent atoms:
Tl 0.000 0.000 0.000
Tl 0.000 0.000 0.349
Tl 0.500 0.500 0.175
Cd 0.500 0.500 0.500

---

[4]
Computed PXRD pattern of AcNdTh2 for Cu Kα, from a DFT-relaxed cell (GGA-PBE, Alexandria).

Top 6 peaks for 2θ from 10° to 80°, sorted by position:
| d (Å) | I (rel.) | index |
| --- | --- | --- |
| 3.025 | 50.1 | 0 0 12 |
| 2.921 | 100.0 | 0 1 5 |
| 2.717 | 71.6 | 1 0 7 |
| 1.842 | 37.6 | 1 1 0 |
| 1.775 | 26.6 | 0 1 17 |
| 1.573 | 47.8 | 1 1 12 |

Cell and atoms:
Cell lengths 3.6842, 3.6842, 36.2981 Å; angles 90.00, 90.00, 120.00 degrees
Space group R3m (No. 160, hexagonal axes)
One atom of each set of equivalent atoms:
Ac 0.0000 0.0000 0.0000
Nd 0.0000 0.0000 0.1691
Th 0.0000 0.0000 0.5823
Th 0.0000 0.0000 0.7528

---

[5]
Computed PXRD pattern of KPa2PbO8 for Cu Kα, from a DFT-relaxed cell (GGA-PBE, Alexandria).

Top 6 peaks for 2θ from 10° to 80°, sorted by position:
| d (Å) | I (rel.) | index |
| --- | --- | --- |
| 3.773 | 56.8 | 1 0 -1 |
| 3.628 | 48.5 | 1 0 1 |
| 2.971 | 100.0 | 0 2 1 |
| 2.614 | 37.6 | 2 0 0 |
| 1.985 | 42.0 | 1 2 -2 |
| 1.942 | 35.3 | 1 2 2 |

Cell and atoms:
Cell lengths 5.234, 7.221, 5.234 Å; angles 90.00, 92.25, 90.00 degrees
Space group P2/m (No. 10)
One atom of each set of equivalent atoms:
K 0.000 0.000 0.000
Pa 0.500 0.249 0.500
Pb 0.000 0.500 0.000
O 0.213 0.286 0.214
O 0.314 0.500 0.687
O 0.336 0.000 0.666

---

[6]
Computed PXRD pattern of Ag2Sn4I9 for Cu Kα, from a DFT-relaxed cell (GGA-PBE, Alexandria).

Top 6 peaks for 2θ from 10° to 80°, sorted by position:
| d (Å) | I (rel.) | index |
| --- | --- | --- |
| 3.730 | 41.4 | 1 -1 3 |
| 3.654 | 41.9 | -1 1 3 |
| 3.611 | 100.0 | 2 1 3 |
| 2.630 | 31.1 | 1 2 -6 |
| 2.361 | 31.0 | 0 3 0 |
| 2.341 | 33.1 | 3 0 0 |

Cell and atoms:
Cell lengths 7.770, 7.818, 23.534 Å; angles 85.17, 83.66, 65.09 degrees
Space group P-1 (No. 2)
One atom of each set of equivalent atoms:
Ag 0.013 0.099 0.366
Ag 0.085 0.943 0.197
Sn 0.199 0.350 0.508
Sn 0.325 0.326 0.995
Sn 0.344 0.306 0.679
Sn 0.346 0.296 0.170
I 0.001 0.286 0.252
I 0.016 0.263 0.622
I 0.043 0.593 0.082
I 0.292 0.051 0.784
I 0.292 0.623 0.569
I 0.296 0.003 0.086
I 0.348 0.698 0.934
I 0.377 0.610 0.236
I 0.386 0.003 0.394

---

[7]
Computed PXRD pattern of H2S for Cu Kα, from a DFT-relaxed cell (GGA-PBE, Alexandria).

Top 6 peaks for 2θ from 10° to 80°, sorted by position:
| d (Å) | I (rel.) | index |
| --- | --- | --- |
| 4.062 | 100.0 | 0 0 1 |
| 3.777 | 76.8 | 1 0 0 |
| 3.697 | 72.8 | 0 1 0 |
| 3.125 | 42.4 | 0 1 1 |
| 3.097 | 44.0 | 1 1 0 |
| 2.866 | 32.1 | 1 0 1 |

Cell and atoms:
Cell lengths 3.965, 3.984, 4.222 Å; angles 74.63, 81.82, 72.69 degrees
Space group P1 (No. 1)
One atom of each set of equivalent atoms:
H 0.000 0.000 0.000
H 0.233 0.144 0.300
S 0.922 0.273 0.156

---

[8]
Computed PXRD pattern of PmNd2Ho2Sc2 for Cu Kα, from a DFT-relaxed cell (GGA-PBE, Alexandria).

Top 6 peaks for 2θ from 10° to 80°, sorted by position:
| d (Å) | I (rel.) | index |
| --- | --- | --- |
| 2.826 | 100.0 | 1 1 2 |
| 2.799 | 87.5 | 0 1 7 |
| 2.756 | 51.7 | 1 0 5 |
| 2.720 | 41.2 | 0 2 0 |
| 1.936 | 37.2 | 1 2 5 |
| 1.470 | 24.3 | 2 1 7 |

Cell and atoms:
Cell lengths 3.455, 5.441, 22.844 Å; angles 90.00, 90.00, 90.00 degrees
Space group Immm (No. 71)
One atom of each set of equivalent atoms:
Pm 0.000 0.000 0.000
Nd 0.000 0.000 0.426
Ho 0.000 0.500 0.210
Sc 0.000 0.500 0.354

---

[9]
Computed PXRD pattern of Na5In2Sn5 for Cu Kα, from a DFT-relaxed cell (GGA-PBE, Alexandria).

Top 6 peaks for 2θ from 10° to 80°, sorted by position:
| d (Å) | I (rel.) | index |
| --- | --- | --- |
| 6.611 | 68.7 | 0 1 -1 |
| 5.031 | 88.4 | 1 0 0 |
| 2.735 | 91.5 | -2 1 1 |
| 2.676 | 100.0 | 1 0 2 |
| 2.584 | 78.4 | 1 -3 0 |
| 2.507 | 75.1 | -1 1 3 |

Cell and atoms:
Cell lengths 5.530, 8.153, 8.792 Å; angles 103.13, 107.85, 101.70 degrees
Space group P-1 (No. 2)
One atom of each set of equivalent atoms:
Na 0.000 0.000 0.000
Na 0.140 0.379 0.871
Na 0.202 0.107 0.411
In 0.364 0.784 0.825
Sn 0.000 0.500 0.500
Sn 0.393 0.505 0.311
Sn 0.474 0.848 0.195

---

[10]
Computed PXRD pattern of Pm4Sm3Au4 for Cu Kα, from a DFT-relaxed cell (GGA-PBE, Alexandria).

Top 6 peaks for 2θ from 10° to 80°, sorted by position:
| d (Å) | I (rel.) | index |
| --- | --- | --- |
| 2.996 | 100.0 | 1 2 1 |
| 2.912 | 31.6 | 1 1 4 |
| 2.491 | 36.1 | 2 0 0 |
| 2.222 | 24.6 | 1 2 5 |
| 2.200 | 19.6 | 1 3 2 |
| 1.518 | 17.6 | 3 2 1 |

Cell and atoms:
Cell lengths 4.982, 7.716, 16.219 Å; angles 90.00, 90.00, 90.00 degrees
Space group Immm (No. 71)
One atom of each set of equivalent atoms:
Pm 0.000 0.220 0.172
Sm 0.000 0.000 0.400
Sm 0.000 0.500 0.500
Au 0.000 0.312 0.000
Au 0.000 0.500 0.301